1.
Lu10Mn13C18: calculated X-ray powder pattern (Cu Kα (λ = 1.5418 Å)), based on a DFT-relaxed cell (PBE, the Materials Project).

Cell and atoms:
Unit cell a=8.594 b=8.594 c=8.594 alpha=109.47 beta=109.47 gamma=109.47
Atoms (fractional coordinates):
Lu 0.000 0.000 0.411
Lu 0.000 0.411 0.000
Lu 0.250 0.500 0.750
Lu 0.250 0.750 0.500
Lu 0.411 0.000 0.000
Lu 0.500 0.250 0.750
Lu 0.500 0.750 0.250
Lu 0.589 0.589 0.589
Lu 0.750 0.250 0.500
Lu 0.750 0.500 0.250
Mn 0.000 0.000 0.000
Mn 0.000 0.665 0.820
Mn 0.000 0.820 0.665
Mn 0.155 0.335 0.335
Mn 0.180 0.180 0.845
Mn 0.180 0.845 0.180
Mn 0.335 0.155 0.335
Mn 0.335 0.335 0.155
Mn 0.665 0.000 0.820
Mn 0.665 0.820 0.000
Mn 0.820 0.000 0.665
Mn 0.820 0.665 0.000
Mn 0.845 0.180 0.180
C 0.000 0.224 0.703
C 0.000 0.431 0.431
C 0.000 0.569 0.569
C 0.000 0.703 0.224
C 0.224 0.000 0.703
C 0.224 0.703 0.000
C 0.297 0.297 0.521
C 0.297 0.521 0.297
C 0.431 0.000 0.431
C 0.431 0.431 0.000
C 0.479 0.776 0.776
C 0.521 0.297 0.297
C 0.569 0.000 0.569
C 0.569 0.569 0.000
C 0.703 0.000 0.224
C 0.703 0.224 0.000
C 0.776 0.479 0.776
C 0.776 0.776 0.479

Peak list (10 most intense, 5° ≤ 2θ ≤ 70°, low angle first)
- d 3.138, I 25.4
- d 2.865, I 100.0
- d 2.652, I 76.8
- d 2.481, I 60.4
- d 2.339, I 54.9
- d 1.946, I 24.2
- d 1.754, I 23.6
- d 1.702, I 21.5
- d 1.610, I 46.7
- d 1.350, I 23.9

=====

2.
AcEuAu2: calculated X-ray powder pattern (Cu Kα (λ = 1.5418 Å)), based on a DFT-relaxed cell (PBE, the Materials Project).

Cell and atoms:
Unit cell a=5.491 b=5.491 c=5.491 alpha=60.00 beta=60.00 gamma=60.00
Atoms (fractional coordinates):
Ac 0.000 0.000 0.000
Eu 0.500 0.500 0.500
Au 0.250 0.250 0.250
Au 0.750 0.750 0.750

Peak list (6 most intense, 5° ≤ 2θ ≤ 70°, low angle first)
- d 4.484, I 1.7
- d 2.746, I 100.0
- d 2.341, I 1.0
- d 1.941, I 18.6
- d 1.585, I 39.1
- d 1.373, I 12.2

=====

3.
PrZnBi2O6: calculated X-ray powder pattern (Cu Kα (λ = 1.5418 Å)), based on a DFT-relaxed cell (PBE, the Materials Project).

Cell and atoms:
Unit cell a=8.451 b=8.451 c=8.451 alpha=90.00 beta=90.00 gamma=90.00
Atoms (fractional coordinates):
Pr 0.000 0.000 0.000
Pr 0.000 0.500 0.500
Pr 0.500 0.000 0.500
Pr 0.500 0.500 0.000
Zn 0.000 0.000 0.500
Zn 0.000 0.500 0.000
Zn 0.500 0.000 0.000
Zn 0.500 0.500 0.500
Bi 0.250 0.250 0.250
Bi 0.250 0.250 0.750
Bi 0.250 0.750 0.250
Bi 0.250 0.750 0.750
Bi 0.750 0.250 0.250
Bi 0.750 0.250 0.750
Bi 0.750 0.750 0.250
Bi 0.750 0.750 0.750
O 0.051 0.570 0.765
O 0.051 0.930 0.735
O 0.070 0.235 0.551
O 0.070 0.265 0.949
O 0.235 0.551 0.070
O 0.235 0.949 0.430
O 0.265 0.551 0.430
O 0.265 0.949 0.070
O 0.430 0.235 0.949
O 0.430 0.265 0.551
O 0.449 0.570 0.735
O 0.449 0.930 0.765
O 0.551 0.070 0.235
O 0.551 0.430 0.265
O 0.570 0.735 0.449
O 0.570 0.765 0.051
O 0.735 0.051 0.930
O 0.735 0.449 0.570
O 0.765 0.051 0.570
O 0.765 0.449 0.930
O 0.930 0.735 0.051
O 0.930 0.765 0.449
O 0.949 0.070 0.265
O 0.949 0.430 0.235

Peak list (10 most intense, 5° ≤ 2θ ≤ 70°, low angle first)
- d 4.879, I 2.4
- d 4.226, I 10.5
- d 2.988, I 100.0
- d 2.548, I 2.1
- d 2.440, I 6.8
- d 2.113, I 23.4
- d 1.890, I 5.4
- d 1.725, I 47.3
- d 1.494, I 14.3
- d 1.409, I 3.7

=====

4.
CaCd: calculated X-ray powder pattern (Cu Kα (λ = 1.5418 Å)), based on a DFT-relaxed cell (PBE, the Materials Project).

Cell and atoms:
Unit cell a=3.858 b=3.858 c=3.858 alpha=90.00 beta=90.00 gamma=90.00
Atoms (fractional coordinates):
Ca 0.000 0.000 0.000
Cd 0.500 0.500 0.500

Peak list (7 most intense, 5° ≤ 2θ ≤ 70°, low angle first)
- d 3.858, I 25.4
- d 2.728, I 100.0
- d 2.228, I 8.0
- d 1.929, I 17.4
- d 1.725, I 10.9
- d 1.575, I 34.7
- d 1.364, I 10.4

=====

5.
YMg: calculated X-ray powder pattern (Cu Kα (λ = 1.5418 Å)), based on a DFT-relaxed cell (PBE, the Materials Project).

Cell and atoms:
Unit cell a=3.450 b=3.450 c=16.650 alpha=90.00 beta=90.00 gamma=120.00
Atoms (fractional coordinates):
Y 0.000 0.000 0.000
Y 0.333 0.667 0.179
Y 0.333 0.667 0.821
Mg 0.000 0.000 0.346
Mg 0.000 0.000 0.654
Mg 0.333 0.667 0.500

Peak list (10 most intense, 5° ≤ 2θ ≤ 70°, low angle first)
- d 16.650, I 100.0
- d 2.988, I 17.1
- d 2.812, I 16.5
- d 2.775, I 14.6
- d 2.631, I 63.5
- d 2.033, I 9.3
- d 1.725, I 11.8
- d 1.573, I 9.3
- d 1.465, I 11.6
- d 1.443, I 9.3